# 1
NaSr: simulated powder XRD pattern (Cu Kα (weighted mean of Kα1 and Kα2)), based on a DFT-relaxed cell (PBE, Alexandria).
Peak positions follow from Bragg's law for the DFT cell and can differ from measured ones.

Atomic structure:
Unit cell a=6.1793 b=13.1623 c=7.5777 alpha=90.00 beta=90.00 gamma=90.00
Space group Amm2 (No. 38)
One atom of each set of equivalent atoms:
Na  0.0000  0.0000  0.0000
Na  0.0000  0.2332  0.8008
Sr  0.0000  0.0000  0.4891
Sr  0.5000  0.1650  0.0924

Principal peaks in the range 15 to 90 degrees two-theta, by angle:
h k l, d [Å], I/Imax
1 2 0, 4.502, 100
0 3 1, 3.795, 72
1 0 2, 3.232, 56
2 0 0, 3.090, 35
1 4 0, 2.902, 77
2 3 1, 2.396, 42
1 5 1, 2.305, 22
1 3 3, 2.064, 17
1 0 4, 1.811, 19
1 6 4, 1.396, 19



# 2
Pa2SnSe5: simulated powder XRD pattern (Cu Kα (weighted mean of Kα1 and Kα2)), based on a DFT-relaxed cell (PBE, Alexandria).
Peak positions follow from Bragg's law for the DFT cell and can differ from measured ones.

Atomic structure:
Unit cell a=7.9428 b=12.6203 c=3.9870 alpha=90.00 beta=90.00 gamma=90.00
Space group Pbam (No. 55)
One atom of each set of equivalent atoms:
Pa  0.0176  0.1775  0.0000
Sn  0.0000  0.5000  0.5000
Se  0.0000  0.0000  0.5000
Se  0.1689  0.3842  0.0000
Se  0.1865  0.6968  0.5000

Principal peaks in the range 15 to 90 degrees two-theta, by angle:
h k l, d [Å], I/Imax
2 0 0, 3.975, 61
1 3 0, 3.718, 58
0 2 1, 3.371, 35
2 1 1, 2.746, 31
1 3 1, 2.719, 59
2 2 1, 2.570, 100
0 4 1, 2.474, 39
3 3 0, 2.241, 48
1 5 1, 2.060, 44
0 0 2, 1.993, 35



# 3
RbLiSbS2: simulated powder XRD pattern (Cu Kα (weighted mean of Kα1 and Kα2)), based on a DFT-relaxed cell (PBE, Alexandria).
Peak positions follow from Bragg's law for the DFT cell and can differ from measured ones.

Atomic structure:
Unit cell a=8.3597 b=7.6544 c=3.9943 alpha=90.00 beta=90.00 gamma=90.00
Space group Pmma (No. 51)
One atom of each set of equivalent atoms:
Rb  0.2500  0.0000  0.0012
Li  0.0000  0.5000  0.0000
Sb  0.2500  0.5000  0.5001
S  0.0000  0.2674  0.5000

Principal peaks in the range 15 to 90 degrees two-theta, by angle:
h k l, d [Å], I/Imax
2 0 0, 4.180, 29
0 2 0, 3.827, 29
0 1 1, 3.541, 100
2 2 0, 2.823, 89
2 1 1, 2.702, 93
0 3 1, 2.150, 19
4 0 0, 2.090, 20
0 4 0, 1.912, 57
4 1 1, 1.800, 35
2 2 2, 1.630, 32



# 4
Dy3Ho5Th3: simulated powder XRD pattern (Cu Kα (weighted mean of Kα1 and Kα2)), based on a DFT-relaxed cell (PBE, Alexandria).
Peak positions follow from Bragg's law for the DFT cell and can differ from measured ones.

Atomic structure:
Unit cell a=3.5428 b=18.7203 c=10.7832 alpha=90.00 beta=90.00 gamma=90.00
Space group Amm2 (No. 38)
One atom of each set of equivalent atoms:
Dy  0.0000  0.0000  0.0000
Dy  0.5000  0.0865  0.7693
Ho  0.0000  0.0000  0.5393
Ho  0.5000  0.1609  0.0489
Ho  0.5000  0.1606  0.4899
Th  0.0000  0.2404  0.7693
Th  0.5000  0.0000  0.2698

Principal peaks in the range 15 to 90 degrees two-theta, by angle:
h k l, d [Å], I/Imax
0 4 2, 3.536, 19
0 3 3, 3.115, 18
1 2 2, 2.823, 100
0 0 4, 2.698, 61
1 5 1, 2.503, 20
0 8 0, 2.340, 13
1 4 4, 1.951, 17
1 10 2, 1.583, 21
1 2 6, 1.580, 13
2 0 4, 1.481, 20



# 5
LiAg2Cl5: simulated powder XRD pattern (Cu Kα (weighted mean of Kα1 and Kα2)), based on a DFT-relaxed cell (PBE, Alexandria).
Peak positions follow from Bragg's law for the DFT cell and can differ from measured ones.

Atomic structure:
Unit cell a=10.6038 b=10.8060 c=7.8604 alpha=90.00 beta=90.00 gamma=90.00
Space group Pnnm (No. 58)
One atom of each set of equivalent atoms:
Li  0.2247  0.2480  0.0000
Ag  0.0000  0.0000  0.2535
Ag  0.1273  0.3694  0.5000
Cl  0.1048  0.6040  0.5000
Cl  0.1125  0.2036  0.2542
Cl  0.1464  0.9059  0.0000
Cl  0.1599  0.9316  0.5000

Principal peaks in the range 15 to 90 degrees two-theta, by angle:
h k l, d [Å], I/Imax
2 1 0, 4.760, 37
1 1 2, 3.488, 100
1 3 0, 3.410, 49
2 0 2, 3.157, 30
1 2 2, 3.044, 45
0 4 2, 2.226, 47
4 0 2, 2.198, 27
3 3 2, 2.123, 45
4 2 2, 2.036, 29
0 0 4, 1.965, 27



# 6
K3Ag4Sn2: simulated powder XRD pattern (Cu Kα (weighted mean of Kα1 and Kα2)), based on a DFT-relaxed cell (PBE, Alexandria).
Peak positions follow from Bragg's law for the DFT cell and can differ from measured ones.

Atomic structure:
Unit cell a=12.4882 b=4.9196 c=9.4778 alpha=90.00 beta=106.14 gamma=90.00
Space group C2/m (No. 12)
One atom of each set of equivalent atoms:
K  0.0000  0.0000  0.0000
K  0.1298  0.5000  0.3763
Ag  0.0820  0.0000  0.6370
Ag  0.2499  0.0000  0.9196
Sn  0.1742  0.5000  0.7711

Principal peaks in the range 15 to 90 degrees two-theta, by angle:
h k l, d [Å], I/Imax
2 0 -1, 5.805, 100
4 0 -1, 3.118, 15
3 1 0, 3.103, 20
4 0 -2, 2.902, 18
0 2 0, 2.460, 28
1 1 3, 2.410, 43
3 1 2, 2.340, 31
2 2 -1, 2.265, 19
1 1 -4, 2.127, 16
7 1 -1, 1.671, 13



# 7
Ta6V5Os: simulated powder XRD pattern (Cu Kα (weighted mean of Kα1 and Kα2)), based on a DFT-relaxed cell (PBE, Alexandria).
Peak positions follow from Bragg's law for the DFT cell and can differ from measured ones.

Atomic structure:
Unit cell a=4.4893 b=6.3349 c=13.4354 alpha=90.00 beta=90.00 gamma=90.00
Space group Immm (No. 71)
One atom of each set of equivalent atoms:
Ta  0.0000  0.2491  0.0000
Ta  0.0000  0.2509  0.3331
V  0.0000  0.0000  0.1654
V  0.0000  0.5000  0.1691
V  0.0000  0.5000  0.5000
Os  0.0000  0.0000  0.5000

Principal peaks in the range 15 to 90 degrees two-theta, by angle:
h k l, d [Å], I/Imax
0 1 1, 5.730, 3
1 0 3, 3.170, 27
2 0 0, 2.242, 100
0 0 6, 2.239, 20
2 2 0, 1.830, 8
2 0 6, 1.585, 20
2 2 6, 1.417, 9
3 2 3, 1.295, 20
1 2 9, 1.293, 20
2 4 6, 1.120, 11



# 8
Rb4Ag3AuF12: simulated powder XRD pattern (Cu Kα (weighted mean of Kα1 and Kα2)), based on a DFT-relaxed cell (PBE, Alexandria).
Peak positions follow from Bragg's law for the DFT cell and can differ from measured ones.

Atomic structure:
Unit cell a=8.9164 b=8.9164 c=8.9164 alpha=90.00 beta=90.00 gamma=90.00
Space group Im-3m (No. 229)
One atom of each set of equivalent atoms:
Rb  0.2500  0.2500  0.2500
Ag  0.0000  0.0000  0.5000
Au  0.0000  0.0000  0.0000
F  0.0000  0.0000  0.2438
F  0.0000  0.2500  0.5000

Principal peaks in the range 15 to 90 degrees two-theta, by angle:
h k l, d [Å], I/Imax
2 0 0, 4.458, 13
2 2 0, 3.152, 100
4 0 0, 2.229, 36
4 2 0, 1.994, 6
4 2 2, 1.820, 41
4 4 0, 1.576, 23
6 2 0, 1.410, 18
4 4 4, 1.287, 7
6 4 2, 1.192, 21
8 0 0, 1.115, 4